# 1
For Zn2In2S5, DFT lattice parameters and positions (GGA-PBE) gives the simulated powder X-ray diffraction pattern in this record (Cu Kα (λ = 1.5418 Å)).
Intensities are scaled so that the largest is 100.

Atomic structure:
Cell: 3.9214 3.9214 31.0452 Å, 90.00 90.00 120.00°
Positions (direct):
Zn1 0.3333 0.6667 0.0000
Zn2 0.3333 0.6667 0.2562
Zn3 0.6667 0.3333 0.5000
Zn4 0.6667 0.3333 0.7562
In1 0.0000 0.0000 0.3794
In2 0.0000 0.0000 0.8794
In3 0.3333 0.6667 0.6087
In4 0.6667 0.3333 0.1087
S1 0.3333 0.6667 0.1424
S2 0.3333 0.6667 0.3376
S3 0.3333 0.6667 0.5279
S4 0.3333 0.6667 0.7361
S5 0.3333 0.6667 0.9276
S6 0.6667 0.3333 0.0279
S7 0.6667 0.3333 0.2361
S8 0.6667 0.3333 0.4276
S9 0.6667 0.3333 0.6424
S10 0.6667 0.3333 0.8376

Principal peaks in the range 2θ = 10–90°, by angle:
2θ/deg  Rel. int.
22.92  94
26.87  88
27.65  100
28.70  53
31.51  57
39.32  42
46.31  100
52.27  58

# 2
For InSb, DFT lattice parameters and positions (GGA-PBE) gives the simulated powder X-ray diffraction pattern in this record (Cu Kα (λ = 1.5418 Å)).
Intensities are scaled so that the largest is 100.

Atomic structure:
Cell: 4.6807 4.6807 7.7132 Å, 90.00 90.00 120.00°
Positions (direct):
In1 0.3333 0.6667 0.0000
In2 0.6667 0.3333 0.5000
Sb1 0.3333 0.6667 0.3742
Sb2 0.6667 0.3333 0.8742

Principal peaks in the range 2θ = 10–90°, by angle:
2θ/deg  Rel. int.
21.93  100
23.06  58
24.81  66
32.03  38
38.47  93
41.60  96
45.33  57
71.71  37

# 3
For InSb, DFT lattice parameters and positions (GGA-PBE) gives the simulated powder X-ray diffraction pattern in this record (Cu Kα (λ = 1.5418 Å)).
Intensities are scaled so that the largest is 100.

Atomic structure:
Cell: 4.6904 4.6904 4.6904 Å, 60.00 60.00 60.00°
Positions (direct):
In1 0.0000 0.0000 0.0000
Sb1 0.2500 0.2500 0.2500

Principal peaks in the range 2θ = 10–90°, by angle:
2θ/deg  Rel. int.
23.23  100
38.38  80
45.34  50
55.41  13
60.87  20
69.41  27
74.30  15
86.88  15

# 4
For In5Sb3, DFT lattice parameters and positions (GGA-PBE) gives the simulated powder X-ray diffraction pattern in this record (Cu Kα (λ = 1.5418 Å)).
Intensities are scaled so that the largest is 100.

Atomic structure:
Cell: 8.9364 8.9364 8.9364 Å, 125.57 125.57 80.60°
Positions (direct):
In1 0.0000 0.0000 0.0000
In2 0.0075 0.5075 0.1972
In3 0.1896 0.9925 0.5000
In4 0.3104 0.8104 0.8028
In5 0.4925 0.6896 0.5000
In6 0.5000 0.5000 0.0000
In7 0.5075 0.3104 0.5000
In8 0.6896 0.1896 0.1972
In9 0.8104 0.0075 0.5000
In10 0.9925 0.4925 0.8028
Sb1 0.1488 0.3512 0.5000
Sb2 0.2500 0.2500 0.0000
Sb3 0.3512 0.8512 0.2025
Sb4 0.6488 0.1488 0.7975
Sb5 0.7500 0.7500 0.0000
Sb6 0.8512 0.6488 0.5000

Principal peaks in the range 2θ = 10–90°, by angle:
2θ/deg  Rel. int.
30.45  12
31.41  100
34.70  52
39.67  11
50.21  10
53.73  12
63.30  10
64.75  18

# 5
For InSb, DFT lattice parameters and positions (GGA-PBE) gives the simulated powder X-ray diffraction pattern in this record (Cu Kα (λ = 1.5418 Å)).
Intensities are scaled so that the largest is 100.

Atomic structure:
Cell: 3.0767 3.0767 6.2155 Å, 90.00 90.00 90.00°
Positions (direct):
In1 0.0000 0.0000 0.0000
Sb1 0.0000 0.0000 0.5000

Principal peaks in the range 2θ = 10–90°, by angle:
2θ/deg  Rel. int.
28.73  51
29.02  100
41.29  76
41.51  38
51.26  40
67.53  17
68.00  17
75.58  25

# 6
For In2Sb, DFT lattice parameters and positions (GGA-PBE) gives the simulated powder X-ray diffraction pattern in this record (Cu Kα (λ = 1.5418 Å)).
Intensities are scaled so that the largest is 100.

Atomic structure:
Cell: 5.3799 5.3799 6.7226 Å, 90.00 90.00 120.00°
Positions (direct):
In1 0.0000 0.0000 0.0000
In2 0.0000 0.0000 0.5000
In3 0.3333 0.6667 0.2500
In4 0.6667 0.3333 0.7500
Sb1 0.3333 0.6667 0.7500
Sb2 0.6667 0.3333 0.2500

Principal peaks in the range 2θ = 10–90°, by angle:
2θ/deg  Rel. int.
32.86  92
33.31  100
47.49  32
59.24  32
59.52  18
65.49  27
79.46  14
85.05  13

# 7
For InSb, DFT lattice parameters and positions (GGA-PBE) gives the simulated powder X-ray diffraction pattern in this record (Cu Kα (λ = 1.5418 Å)).
Intensities are scaled so that the largest is 100.

Atomic structure:
Cell: 4.5327 4.5327 4.5327 Å, 99.57 94.41 139.19°
Positions (direct):
In1 0.0000 0.0000 0.0000
Sb1 0.5539 0.0539 0.5000

Principal peaks in the range 2θ = 10–90°, by angle:
2θ/deg  Rel. int.
29.00  68
30.55  59
32.19  100
42.62  47
43.86  84
55.34  21
63.66  34
69.82  20

# 8
For InSb, DFT lattice parameters and positions (GGA-PBE) gives the simulated powder X-ray diffraction pattern in this record (Cu Kα (λ = 1.5418 Å)).
Intensities are scaled so that the largest is 100.

Atomic structure:
Cell: 4.4745 4.4745 4.4745 Å, 97.69 97.69 137.10°
Positions (direct):
In1 0.0000 0.0000 0.0000
Sb1 0.7500 0.2500 0.5000

Principal peaks in the range 2θ = 10–90°, by angle:
2θ/deg  Rel. int.
30.35  100
31.27  93
43.46  37
44.14  71
54.51  19
60.82  27
63.67  23
77.68  26

# 9
For InSb, DFT lattice parameters and positions (GGA-PBE) gives the simulated powder X-ray diffraction pattern in this record (Cu Kα (λ = 1.5418 Å)).
Intensities are scaled so that the largest is 100.

Atomic structure:
Cell: 4.3977 4.3977 18.0165 Å, 90.00 90.00 92.57°
Positions (direct):
In1 0.0797 0.9203 0.7500
In2 0.4138 0.5862 0.5898
In3 0.4138 0.5862 0.9102
In4 0.5862 0.4138 0.0898
In5 0.5862 0.4138 0.4102
In6 0.9203 0.0797 0.2500
Sb1 0.0812 0.9188 0.0761
Sb2 0.0812 0.9188 0.4239
Sb3 0.4228 0.5772 0.2500
Sb4 0.5772 0.4228 0.7500
Sb5 0.9188 0.0812 0.5761
Sb6 0.9188 0.0812 0.9239

Principal peaks in the range 2θ = 10–90°, by angle:
2θ/deg  Rel. int.
28.07  25
29.39  85
29.75  79
31.85  100
42.31  60
43.89  82
62.80  25
68.42  26

# 10
For InSb, DFT lattice parameters and positions (GGA-PBE) gives the simulated powder X-ray diffraction pattern in this record (Cu Kα (λ = 1.5418 Å)).
Intensities are scaled so that the largest is 100.

Atomic structure:
Cell: 5.9204 5.9380 3.2225 Å, 90.00 90.00 90.00°
Positions (direct):
In1 0.2500 0.2500 0.0088
In2 0.7500 0.7500 0.9912
Sb1 0.2500 0.7500 0.2770
Sb2 0.7500 0.2500 0.7230

Principal peaks in the range 2θ = 10–90°, by angle:
2θ/deg  Rel. int.
30.14  100
31.60  44
35.12  44
41.38  14
43.15  37
44.23  35
61.67  23
78.23  23

# 11
For InSb, DFT lattice parameters and positions (GGA-PBE) gives the simulated powder X-ray diffraction pattern in this record (Cu Kα (λ = 1.5418 Å)).
Intensities are scaled so that the largest is 100.

Atomic structure:
Cell: 4.3466 4.3466 4.3466 Å, 60.00 60.00 60.00°
Positions (direct):
In1 0.0000 0.0000 0.0000
Sb1 0.5000 0.5000 0.5000

Principal peaks in the range 2θ = 10–90°, by angle:
2θ/deg  Rel. int.
29.05  100
41.55  75
51.50  26
60.22  12
68.23  33
75.82  25

# 12
For InSb, DFT lattice parameters and positions (GGA-PBE) gives the simulated powder X-ray diffraction pattern in this record (Cu Kα (λ = 1.5418 Å)).
Intensities are scaled so that the largest is 100.

Atomic structure:
Cell: 3.0415 6.1468 3.1394 Å, 90.00 90.00 90.00°
Positions (direct):
In1 0.0000 0.0000 0.0000
Sb1 0.0000 0.5000 0.2550

Principal peaks in the range 2θ = 10–90°, by angle:
2θ/deg  Rel. int.
28.43  51
29.05  100
29.37  97
32.01  80
41.10  38
41.78  74
43.99  66
51.31  39